The following is a computed powder diffractogram of Pu4Bi8Pt3. It was derived from a PBE-relaxed structure, using λ = 1.5418 Å (Cu Kα).
Neutral-atom scattering factors, no anomalous dispersion.

Principal peaks in the range 15° ≤ 2θ ≤ 90°, sorted by position:
2θ (°)	Rel. int.	(hkl)
28.66	25	0 0 6
33.21	100	1 1 4
38.53	52	2 0 0
39.77	10	1 1 6
47.68	6	1 1 8
48.72	13	2 0 6
52.76	7	1 0 10
55.63	26	2 2 0
56.59	8	1 1 10
63.76	11	2 2 6
66.33	30	3 1 4
83.38	7	3 1 10

Atomic structure:
```
Pu4Bi8Pt3
1.0
4.6741 0.0000 0.0000
0.0000 4.6741 0.0000
0.0000 0.0000 18.6809
Pu Bi Pt
4 8 3
Direct
0.0000 0.5000 0.1069
0.0000 0.5000 0.6102
0.5000 0.0000 0.3898
0.5000 0.0000 0.8931
0.0000 0.0000 0.2475
0.0000 0.0000 0.7525
0.0000 0.5000 0.4076
0.0000 0.5000 0.9148
0.5000 0.0000 0.0852
0.5000 0.0000 0.5924
0.5000 0.5000 0.2471
0.5000 0.5000 0.7529
0.0000 0.0000 0.0000
0.0000 0.0000 0.5000
0.5000 0.5000 0.5000
```